Diffraction record for SrLa2Mn2O7. The PXRD pattern is computed, not measured: it uses a structure optimized by DFT (GGA+U) and CuKα.
Kinematic intensities with the Lorentz-polarization factor, no thermal factor.

Principal peaks in the range 15° ≤ 2θ ≤ 90°, low angle first:
2θ 23.0, intensity 18; 2θ 31.5, intensity 100; 2θ 32.2, intensity 64; 2θ 41.8, intensity 27; 2θ 46.2, intensity 37; 2θ 55.6, intensity 16; 2θ 56.9, intensity 37; 2θ 65.7, intensity 14

Cell and atoms:
Cell lengths 10.655, 10.655, 10.655 Å; angles 158.73, 158.73, 30.26 degrees
Positions (direct):
Sr 0.000 0.000 0.000
La 0.634 0.634 0.000
La 0.821 0.821 0.000
Mn 0.219 0.219 0.000
Mn 0.415 0.415 0.000
O 0.119 0.119 0.000
O 0.218 0.718 0.500
O 0.313 0.313 0.000
O 0.408 0.908 0.500
O 0.523 0.523 0.000
O 0.718 0.218 0.500
O 0.908 0.408 0.500